Entry 1:
The following is a theoretical powder diffraction line list of RbMgP2O. It was derived from a cell relaxed with GGA-PBE, using copper Kα.

a = 9.3417 Å, b = 4.0785 Å, c = 6.6831 Å
α = 90.00°, β = 94.32°, γ = 90.00°
Space group Cm (No. 8)
Unique sites:
Rb (0.0000, 0.0000, 0.0000) (multiplicity 2)
Mg (0.3436, 0.0000, 0.5097) (multiplicity 2)
P (0.1858, 0.5000, 0.6454) (multiplicity 2)
P (0.2219, 0.5000, 0.3321) (multiplicity 2)
O (0.0185, 0.5000, 0.6895) (multiplicity 2)

Largest 8 diffraction maxima, low angle first, 2θ from 15° to 90°:
2θ (°), Rel. int., (hkl)
22.5, 659, 2 0 -1
23.8, 281, 1 1 0
24.1, 775, 2 0 1
27.0, 887, 1 1 -1
27.7, 1000, 1 1 1
35.6, 399, 1 1 -2
36.4, 635, 3 1 0
44.4, 298, 0 2 0

Entry 2:
The following is a theoretical powder diffraction line list of TbCe2Se2S2. It was derived from a cell relaxed with GGA-PBE, using copper Kα.

a = 5.1322 Å, b = 5.1322 Å, c = 14.9691 Å
α = 90.00°, β = 90.00°, γ = 90.00°
Space group I4/mmm (No. 139)
Unique sites:
Tb (0.0000, 0.0000, 0.0000) (multiplicity 2)
Ce (0.0000, 0.0000, 0.3779) (multiplicity 4)
Se (0.0000, 0.0000, 0.1868) (multiplicity 4)
S (0.0000, 0.5000, 0.0000) (multiplicity 4)

Largest 8 diffraction maxima, low angle first, 2θ from 15° to 90°:
2θ (°), Rel. int., (hkl)
24.5, 1000, 1 1 0
24.9, 261, 1 0 3
34.7, 789, 1 0 5
35.0, 630, 2 0 0
50.1, 554, 2 1 5
50.3, 221, 2 2 0
56.7, 203, 3 1 0
73.7, 175, 3 2 5

Entry 3:
The following is a theoretical powder diffraction line list of SmErNiPt. It was derived from a cell relaxed with GGA-PBE, using copper Kα.

a = 4.3903 Å, b = 3.8535 Å, c = 10.2563 Å
α = 90.00°, β = 90.00°, γ = 90.00°
Space group Amm2 (No. 38)
Unique sites:
Sm (0.0000, 0.0000, 0.0000) (multiplicity 2)
Er (0.5000, 0.0000, 0.7194) (multiplicity 2)
Ni (0.0000, 0.0000, 0.2773) (multiplicity 2)
Pt (0.5000, 0.0000, 0.4330) (multiplicity 2)

Largest 8 diffraction maxima, low angle first, 2θ from 15° to 90°:
2θ (°), Rel. int., (hkl)
32.1, 1000, 1 1 1
35.1, 547, 0 0 4
40.8, 854, 1 1 3
41.1, 296, 2 0 0
47.2, 200, 0 2 0
55.1, 329, 2 0 4
64.3, 157, 2 2 0
83.1, 150, 2 1 7

Entry 4:
The following is a theoretical powder diffraction line list of Y2AlTlTe. It was derived from a cell relaxed with GGA-PBE, using copper Kα.

a = 5.6951 Å, b = 5.6951 Å, c = 5.8633 Å
α = 90.00°, β = 90.00°, γ = 90.00°
Space group P4/mmm (No. 123)
Unique sites:
Y (0.0000, 0.5000, 0.0000) (multiplicity 2)
Al (0.0000, 0.0000, 0.5000) (multiplicity 1)
Tl (0.5000, 0.5000, 0.0000) (multiplicity 1)
Te (0.5000, 0.5000, 0.5000) (multiplicity 1)

Largest 8 diffraction maxima, low angle first, 2θ from 15° to 90°:
2θ (°), Rel. int., (hkl)
15.1, 326, 0 0 1
15.6, 1000, 1 0 0
30.5, 329, 0 0 2
31.4, 608, 2 0 0
34.4, 295, 1 0 2
35.2, 277, 2 1 0
44.3, 467, 2 0 2
47.3, 245, 2 1 2

Repeat the second record exactly.
The following is a theoretical powder diffraction line list of TbCe2Se2S2. It was derived from a cell relaxed with GGA-PBE, using copper Kα.

a = 5.1322 Å, b = 5.1322 Å, c = 14.9691 Å
α = 90.00°, β = 90.00°, γ = 90.00°
Space group I4/mmm (No. 139)
Unique sites:
Tb (0.0000, 0.0000, 0.0000) (multiplicity 2)
Ce (0.0000, 0.0000, 0.3779) (multiplicity 4)
Se (0.0000, 0.0000, 0.1868) (multiplicity 4)
S (0.0000, 0.5000, 0.0000) (multiplicity 4)

Largest 8 diffraction maxima, low angle first, 2θ from 15° to 90°:
2θ (°), Rel. int., (hkl)
24.5, 1000, 1 1 0
24.9, 261, 1 0 3
34.7, 789, 1 0 5
35.0, 630, 2 0 0
50.1, 554, 2 1 5
50.3, 221, 2 2 0
56.7, 203, 3 1 0
73.7, 175, 3 2 5